Record 1
For La6InOs2, the GGA-PBE geometry in Alexandria gives the calculated powder diffractogram in this record (Cu Kα, 1.54184 Å).

Cell and atoms:
```
data_La6InOs2
_space_group_name_H-M_alt 'C 1 2/m 1'
_space_group_IT_number 12
_space_group_name_Hall '-C 2y'
_cell_length_a 12.3595
_cell_length_b 5.7968
_cell_length_c 9.7876
_cell_angle_alpha 90.00
_cell_angle_beta 129.10
_cell_angle_gamma 90.00
loop_
_atom_site_label
_atom_site_type_symbol
_atom_site_fract_x
_atom_site_fract_y
_atom_site_fract_z
La1 La 0.0121 0.0000 0.1606
La2 La 0.1221 0.5000 0.4657
La3 La 0.2065 0.5000 0.0987
In1 In 0.0000 0.0000 0.5000
Os1 Os 0.2174 0.5000 0.8008
```

Largest 6 diffraction maxima, low angle first, 10° ≤ 2θ ≤ 90°:
- hkl 1 1 -1, 2θ 17.88, intensity 32
- hkl 0 2 0, 2θ 30.85, intensity 76
- hkl 4 0 -3, 2θ 31.25, intensity 44
- hkl 3 1 0, 2θ 31.97, intensity 100
- hkl 1 1 -3, 2θ 34.11, intensity 43
- hkl 4 2 -3, 2θ 44.49, intensity 34

---

Record 2
For La3SmInOs, the GGA-PBE geometry in Alexandria gives the calculated powder diffractogram in this record (Cu Kα, 1.54184 Å).

Cell and atoms:
```
data_La3SmInOs
_space_group_name_H-M_alt 'C 1 2/m 1'
_space_group_IT_number 12
_space_group_name_Hall '-C 2y'
_cell_length_a 16.5779
_cell_length_b 7.6849
_cell_length_c 6.1855
_cell_angle_alpha 90.00
_cell_angle_beta 111.84
_cell_angle_gamma 90.00
loop_
_atom_site_label
_atom_site_type_symbol
_atom_site_fract_x
_atom_site_fract_y
_atom_site_fract_z
La1 La 0.1184 0.2474 0.1178
La2 La 0.1747 0.0000 0.6737
Sm1 Sm 0.0000 0.3034 0.5000
In1 In 0.1944 0.5000 0.6947
Os1 Os 0.0000 0.0000 0.2424
```

Largest 6 diffraction maxima, low angle first, 10° ≤ 2θ ≤ 90°:
- hkl 2 0 0, 2θ 11.50, intensity 22
- hkl 1 1 0, 2θ 12.88, intensity 26
- hkl 4 0 1, 2θ 32.51, intensity 100
- hkl 0 2 2, 2θ 39.18, intensity 33
- hkl 2 0 3, 2θ 53.50, intensity 23
- hkl 10 2 -2, 2θ 61.72, intensity 28

---

Record 3
For LaPaIn6, the GGA-PBE geometry in Alexandria gives the calculated powder diffractogram in this record (Cu Kα, 1.54184 Å).

Cell and atoms:
```
data_LaPaIn6
_space_group_name_H-M_alt 'P 4/m m m'
_space_group_IT_number 123
_space_group_name_Hall '-P 4 2'
_cell_length_a 4.7117
_cell_length_b 4.7117
_cell_length_c 9.4187
_cell_angle_alpha 90.00
_cell_angle_beta 90.00
_cell_angle_gamma 90.00
loop_
_atom_site_label
_atom_site_type_symbol
_atom_site_fract_x
_atom_site_fract_y
_atom_site_fract_z
La1 La 0.0000 0.0000 0.0000
Pa1 Pa 0.0000 0.0000 0.5000
In1 In 0.0000 0.5000 0.2561
In2 In 0.5000 0.5000 0.0000
In3 In 0.5000 0.5000 0.5000
```

Largest 6 diffraction maxima, low angle first, 10° ≤ 2θ ≤ 90°:
- hkl 1 1 2, 2θ 32.93, intensity 100
- hkl 2 0 0, 2θ 38.21, intensity 50
- hkl 2 2 0, 2θ 55.14, intensity 34
- hkl 3 1 2, 2θ 65.74, intensity 39
- hkl 2 2 4, 2θ 69.07, intensity 11
- hkl 4 0 0, 2θ 81.78, intensity 5

---

Record 4
For La3InPb4, the GGA-PBE geometry in Alexandria gives the calculated powder diffractogram in this record (Cu Kα, 1.54184 Å).

Cell and atoms:
```
data_La3InPb4
_space_group_name_H-M_alt 'F m m 2'
_space_group_IT_number 42
_space_group_name_Hall 'F 2 -2'
_cell_length_a 12.5546
_cell_length_b 12.6944
_cell_length_c 12.5468
_cell_angle_alpha 90.00
_cell_angle_beta 90.00
_cell_angle_gamma 90.00
loop_
_atom_site_label
_atom_site_type_symbol
_atom_site_fract_x
_atom_site_fract_y
_atom_site_fract_z
La1 La 0.0000 0.1560 0.0000
La2 La 0.1617 0.0000 0.4950
La3 La 0.2500 0.2500 0.2429
In1 In 0.1397 0.0000 0.8208
Pb1 Pb 0.0000 0.1422 0.6758
Pb2 Pb 0.0000 0.1441 0.3234
Pb3 Pb 0.1498 0.0000 0.1799
Pb4 Pb 0.2500 0.2500 0.4922
```

Largest 6 diffraction maxima, low angle first, 10° ≤ 2θ ≤ 90°:
- hkl 4 0 0, 2θ 28.44, intensity 26
- hkl 1 3 3, 2θ 30.89, intensity 100
- hkl 3 1 3, 2θ 31.04, intensity 95
- hkl 2 4 0, 2θ 31.59, intensity 74
- hkl 4 2 0, 2θ 31.82, intensity 75
- hkl 0 0 6, 2θ 43.24, intensity 34